[1]
Structure and theoretical X-ray powder pattern of Cu5NiPd6 (a structure optimized by DFT (PBE); a wavelength of 1.5418 Å).

Principal peaks in the range 2θ from 5° to 70°, low angle first:
- 29.4°, I = 3, (1 0 1)
- 29.6°, I = 3, (1 0 -2)
- 29.9°, I = 3, (0 2 0)
- 42.2°, I = 51, (0 0 3)
- 42.5°, I = 100, (1 2 1)
- 52.6°, I = 3, (2 2 -1)
- 61.1°, I = 8, (2 0 2)
- 61.4°, I = 8, (2 0 -4)
- 62.1°, I = 8, (0 4 0)
- 69.3°, I = 1, (3 0 0)
- 69.5°, I = 1, (3 0 -3)
- 69.8°, I = 1, (2 2 -4)

Structural model:
Unit cell a=4.280 b=5.975 c=6.761 alpha=90.00 beta=108.21 gamma=90.00
Space group P2/m (No. 10)
Unique sites:
Cu 0.000 0.000 0.000 x1
Cu 0.333 0.000 0.664 x2
Cu 0.333 0.500 0.665 x2
Ni 0.000 0.500 0.000 x1
Pd 0.165 0.251 0.331 x4
Pd 0.500 0.252 0.000 x2

---

[2]
Structure and theoretical X-ray powder pattern of Li2Cd2Bi (a structure optimized by DFT (PBE); a wavelength of 1.5418 Å).

Principal peaks in the range 2θ from 5° to 70°, low angle first:
- 14.2°, I = 33, (0 0 1)
- 20.1°, I = 82, (1 0 0)
- 24.7°, I = 15, (1 0 1)
- 28.6°, I = 28, (0 0 2)
- 35.3°, I = 100, (1 1 0)
- 38.2°, I = 19, (1 1 1)
- 40.9°, I = 14, (2 0 0)
- 46.0°, I = 47, (1 1 2)
- 50.7°, I = 16, (2 0 2)
- 55.1°, I = 11, (2 1 0)
- 57.2°, I = 9, (1 1 3)
- 63.3°, I = 34, (3 0 0)

Structural model:
Unit cell a=5.0898 b=5.0898 c=6.2334 alpha=90.00 beta=90.00 gamma=120.00
Space group P-6m2 (No. 187)
Unique sites:
Li 0.0000 0.0000 0.2492 x2
Cd 0.3333 0.6667 0.5000 x1
Cd 0.6667 0.3333 0.0000 x1
Bi 0.3333 0.6667 0.0000 x1

---

What did the second record say?
Structure and theoretical X-ray powder pattern of Li2Cd2Bi (a structure optimized by DFT (PBE); a wavelength of 1.5418 Å).

Principal peaks in the range 2θ from 5° to 70°, low angle first:
- 14.2°, I = 33, (0 0 1)
- 20.1°, I = 82, (1 0 0)
- 24.7°, I = 15, (1 0 1)
- 28.6°, I = 28, (0 0 2)
- 35.3°, I = 100, (1 1 0)
- 38.2°, I = 19, (1 1 1)
- 40.9°, I = 14, (2 0 0)
- 46.0°, I = 47, (1 1 2)
- 50.7°, I = 16, (2 0 2)
- 55.1°, I = 11, (2 1 0)
- 57.2°, I = 9, (1 1 3)
- 63.3°, I = 34, (3 0 0)

Structural model:
Unit cell a=5.0898 b=5.0898 c=6.2334 alpha=90.00 beta=90.00 gamma=120.00
Space group P-6m2 (No. 187)
Unique sites:
Li 0.0000 0.0000 0.2492 x2
Cd 0.3333 0.6667 0.5000 x1
Cd 0.6667 0.3333 0.0000 x1
Bi 0.3333 0.6667 0.0000 x1